For ThCd3Ni8, a structure optimized by DFT (GGA-PBE) gives the calculated XRD peak list in this record (copper Kα).

Most intense lines, 15 to 90 degrees two-theta, by angle:
| d (Å) | 2θ/deg | I (rel.) |
| --- | --- | --- |
| 2.502 | 35.90 | 37 |
| 2.487 | 36.12 | 40 |
| 2.135 | 42.33 | 35 |
| 2.124 | 42.56 | 100 |
| 2.032 | 44.59 | 20 |
| 1.438 | 64.81 | 13 |
| 1.357 | 69.22 | 16 |
| 1.355 | 69.36 | 14 |
| 1.251 | 76.09 | 13 |
| 1.243 | 76.64 | 15 |

Crystal structure
a b c (Å): 8.684 8.684 8.684
angles (deg): 33.28 33.28 33.28
Atoms (fractional coordinates):
Th  0.000  0.000  0.000
Cd  0.130  0.130  0.130
Cd  0.494  0.494  0.494
Cd  0.612  0.612  0.612
Ni  0.061  0.061  0.558
Ni  0.061  0.558  0.061
Ni  0.061  0.563  0.563
Ni  0.311  0.311  0.311
Ni  0.558  0.061  0.061
Ni  0.563  0.061  0.563
Ni  0.563  0.563  0.061
Ni  0.811  0.811  0.811